This entry pairs a crystal structure of SrGeS2O8 with its theoretical X-ray diffraction stick pattern. Radiation: λ = 1.5418 Å (Cu Kα). Structure: a cell relaxed with PBE.
Lines closer than 0.1° are merged.

Structural model:
```
SrGeS2O8
1.0
2.502 1.444 7.374
-2.502 1.444 7.374
0.000 -2.889 7.374
Sr Ge S O
1 1 2 8
direct
0.000 0.000 0.000
0.500 0.500 0.500
0.253 0.253 0.253
0.747 0.747 0.747
0.039 0.474 0.792
0.208 0.961 0.526
0.321 0.321 0.321
0.474 0.792 0.039
0.526 0.208 0.961
0.679 0.679 0.679
0.792 0.039 0.474
0.961 0.526 0.208
```

The 10 most intense peaks (2θ = 15–90°), sorted by position:
two_theta  I_rel
26.12  100
35.89  36
37.98  11
38.62  28
43.72  23
44.93  16
58.80  15
62.59  17
64.51  12
66.33  9